1.
Starting from DFT lattice parameters and positions (PBE), the PXRD pattern of H4Pd6Pt was simulated for Cu Kα.
Intensities are scaled so that the largest is 100.

Cell and atoms:
Unit cell a=4.7868 b=10.7965 c=4.8644 alpha=90.00 beta=98.27 gamma=90.00
Space group P2_1/m (No. 11)
Symmetry-distinct sites (fractional):
H1 0.0512 0.1504 0.3169 x4
H2 0.3923 0.5928 0.0599 x4
Pd1 0.0000 0.0000 0.5000 x2
Pd2 0.2486 0.0771 0.0394 x4
Pd3 0.2517 0.7500 0.9155 x2
Pd4 0.4704 0.6245 0.4252 x4
Pt1 0.0432 0.2500 0.6209 x2

Largest 10 diffraction maxima, low angle first, 10 to 80 degrees two-theta:
2θ = 31.2°, rel. 30.6; 2θ = 37.4°, rel. 38.2; 2θ = 37.9°, rel. 100.0; 2θ = 38.3°, rel. 61.9; 2θ = 38.4°, rel. 74.9; 2θ = 39.9°, rel. 87.2; 2θ = 41.6°, rel. 75.0; 2θ = 45.0°, rel. 34.7; 2θ = 45.8°, rel. 25.1; 2θ = 47.2°, rel. 45.4

***

2.
Starting from DFT lattice parameters and positions (PBE), the PXRD pattern of YbB12 was simulated for Cu Kα.
Intensities are scaled so that the largest is 100.

Cell and atoms:
Unit cell a=7.4829 b=7.4829 c=7.4829 alpha=90.00 beta=90.00 gamma=90.00
Space group Fm-3m (No. 225)
Symmetry-distinct sites (fractional):
Yb1 0.0000 0.0000 0.0000 x4
B1 0.0000 0.1687 0.3313 x48

Largest 10 diffraction maxima, low angle first, 10 to 80 degrees two-theta:
2θ = 20.6°, rel. 97.9; 2θ = 23.8°, rel. 73.8; 2θ = 33.9°, rel. 44.3; 2θ = 40.0°, rel. 100.0; 2θ = 41.8°, rel. 29.9; 2θ = 53.4°, rel. 33.8; 2θ = 54.9°, rel. 24.5; 2θ = 60.6°, rel. 28.8; 2θ = 75.1°, rel. 31.0; 2θ = 76.4°, rel. 20.8

***

3.
Starting from DFT lattice parameters and positions (PBE), the PXRD pattern of CdNF2 was simulated for Cu Kα.
Intensities are scaled so that the largest is 100.

Cell and atoms:
Unit cell a=6.2052 b=3.5809 c=7.3632 alpha=90.00 beta=106.71 gamma=90.00
Space group P2_1/m (No. 11)
Symmetry-distinct sites (fractional):
Cd1 0.2501 0.2500 0.0002 x2
N1 0.2497 0.7500 0.4980 x2
F1 0.0359 0.7500 0.8607 x2
F2 0.4644 0.7500 0.1395 x2

Largest 10 diffraction maxima, low angle first, 10 to 80 degrees two-theta:
2θ = 12.6°, rel. 100.0; 2θ = 25.3°, rel. 18.8; 2θ = 29.1°, rel. 21.8; 2θ = 30.0°, rel. 20.8; 2θ = 33.4°, rel. 14.1; 2θ = 33.5°, rel. 28.1; 2θ = 41.8°, rel. 12.7; 2θ = 51.0°, rel. 13.9; 2θ = 52.4°, rel. 7.3; 2θ = 52.7°, rel. 10.2

***

4.
Starting from DFT lattice parameters and positions (PBE), the PXRD pattern of La2Si3Ir was simulated for Cu Kα.
Intensities are scaled so that the largest is 100.

Cell and atoms:
Unit cell a=8.3240 b=8.7121 c=14.3834 alpha=90.00 beta=90.00 gamma=90.00
Space group Fmmm (No. 69)
Symmetry-distinct sites (fractional):
La1 0.0000 0.2465 0.0000 x8
La2 0.2500 0.2500 0.2500 x8
Si1 0.0000 0.0000 0.3331 x8
Si2 0.2489 0.0000 0.4164 x16
Ir1 0.0000 0.0000 0.1663 x8

Largest 10 diffraction maxima, low angle first, 10 to 80 degrees two-theta:
2θ = 16.0°, rel. 14.2; 2θ = 23.7°, rel. 20.5; 2θ = 24.7°, rel. 10.7; 2θ = 32.3°, rel. 100.0; 2θ = 41.5°, rel. 14.8; 2θ = 43.5°, rel. 13.5; 2θ = 43.6°, rel. 25.8; 2θ = 55.2°, rel. 21.6; 2θ = 61.7°, rel. 27.4; 2θ = 72.8°, rel. 12.5

***

Which formula does entry 4 have? La2Si3Ir

***

Number 3 is which compound? CdNF2

***

Number 2 is which compound? YbB12